# 1
Y4SbRh: simulated powder X-ray diffraction pattern (copper Kα), based on a crystal structure in Alexandria, relaxed with PBE.

Unit cell a=6.1251 b=6.5745 c=8.6838 alpha=90.00 beta=110.00 gamma=90.00
Positions (direct):
Y  0.0048  0.9995  0.2082
Y  0.0048  0.5005  0.2082
Y  0.3982  0.2500  0.6110
Y  0.4343  0.2500  0.1007
Y  0.5657  0.7500  0.8993
Y  0.6018  0.7500  0.3890
Y  0.9952  0.0005  0.7918
Y  0.9952  0.4995  0.7918
Sb  0.1995  0.7500  0.5450
Sb  0.8005  0.2500  0.4550
Rh  0.2688  0.7500  0.0717
Rh  0.7312  0.2500  0.9283

Top 10 peaks for 2θ from 5° to 70°, low angle first:
20.5°, 4.330 Å, I 25; 27.1°, 3.287 Å, I 20; 30.9°, 2.894 Å, I 45; 31.3°, 2.855 Å, I 100; 33.8°, 2.649 Å, I 39; 34.2°, 2.620 Å, I 36; 35.1°, 2.560 Å, I 56; 35.2°, 2.551 Å, I 53; 41.6°, 2.171 Å, I 30; 41.7°, 2.165 Å, I 23


# 2
Zr2Al3Ga2: simulated powder X-ray diffraction pattern (copper Kα), based on a crystal structure in Alexandria, relaxed with PBE.

Unit cell a=6.6459 b=9.3064 c=4.0447 alpha=90.00 beta=90.00 gamma=90.00
Positions (direct):
Zr  0.1103  0.1679  0.0000
Zr  0.3897  0.6679  0.0000
Zr  0.6103  0.3321  0.0000
Zr  0.8897  0.8321  0.0000
Al  0.0000  0.5000  0.0000
Al  0.1899  0.9363  0.5000
Al  0.3101  0.4363  0.5000
Al  0.5000  0.0000  0.0000
Al  0.6899  0.5637  0.5000
Al  0.8101  0.0637  0.5000
Ga  0.0838  0.6723  0.5000
Ga  0.4162  0.1723  0.5000
Ga  0.5838  0.8277  0.5000
Ga  0.9162  0.3277  0.5000

Top 10 peaks for 2θ from 5° to 70°, low angle first:
19.1°, 4.653 Å, I 19; 23.3°, 3.812 Å, I 31; 27.5°, 3.239 Å, I 18; 36.3°, 2.475 Å, I 100; 39.0°, 2.308 Å, I 92; 41.1°, 2.196 Å, I 21; 44.8°, 2.022 Å, I 28; 45.3°, 2.000 Å, I 25; 62.4°, 1.488 Å, I 12; 65.7°, 1.422 Å, I 16


# 3
PaMnSn2: simulated powder X-ray diffraction pattern (copper Kα), based on a crystal structure in Alexandria, relaxed with PBE.

Unit cell a=5.7392 b=5.7392 c=5.7392 alpha=46.81 beta=46.81 gamma=46.81
Positions (direct):
Pa  0.0000  0.0000  0.0000
Mn  0.5000  0.5000  0.5000
Sn  0.2265  0.2265  0.2265
Sn  0.7735  0.7735  0.7735

Top 10 peaks for 2θ from 5° to 70°, low angle first:
23.3°, 3.823 Å, I 41; 32.6°, 2.747 Å, I 100; 37.2°, 2.419 Å, I 34; 39.5°, 2.280 Å, I 70; 52.1°, 1.754 Å, I 27; 53.2°, 1.721 Å, I 15; 53.9°, 1.700 Å, I 9; 55.4°, 1.659 Å, I 11; 67.4°, 1.390 Å, I 25; 68.9°, 1.363 Å, I 18


# 4
Cs2Cd2Pb3: simulated powder X-ray diffraction pattern (copper Kα), based on a crystal structure in Alexandria, relaxed with PBE.

Unit cell a=7.5315 b=7.5315 c=9.8597 alpha=122.19 beta=122.19 gamma=37.59
Positions (direct):
Cs  0.1225  0.1225  0.2623
Cs  0.8775  0.8775  0.7377
Cd  0.1445  0.1445  0.6993
Cd  0.8555  0.8555  0.3007
Pb  0.3448  0.3448  0.0571
Pb  0.5000  0.5000  0.5000
Pb  0.6552  0.6552  0.9429

Top 10 peaks for 2θ from 5° to 70°, low angle first:
12.6°, 6.999 Å, I 71; 25.5°, 3.500 Å, I 24; 26.2°, 3.401 Å, I 23; 26.3°, 3.388 Å, I 100; 27.3°, 3.262 Å, I 44; 27.8°, 3.208 Å, I 38; 32.7°, 2.739 Å, I 88; 37.1°, 2.426 Å, I 40; 46.7°, 1.947 Å, I 21; 48.6°, 1.874 Å, I 26


# 5
Zn6B5Ir11: simulated powder X-ray diffraction pattern (copper Kα), based on a crystal structure in Alexandria, relaxed with PBE.

Unit cell a=2.8984 b=11.4051 c=8.5022 alpha=90.00 beta=90.00 gamma=90.00
Positions (direct):
Zn  0.0000  0.0000  0.0000
Zn  0.0000  0.0000  0.3000
Zn  0.0000  0.0000  0.6424
Zn  0.0000  0.3007  0.6557
Zn  0.0000  0.5000  0.1228
Zn  0.0000  0.6993  0.6557
B  0.0000  0.2345  0.3254
B  0.0000  0.2450  0.9566
B  0.0000  0.5000  0.4633
B  0.0000  0.7550  0.9566
B  0.0000  0.7655  0.3254
Ir  0.5000  0.1421  0.8200
Ir  0.5000  0.1516  0.4748
Ir  0.5000  0.1818  0.1431
Ir  0.5000  0.3794  0.9160
Ir  0.5000  0.3803  0.3439
Ir  0.5000  0.5000  0.6413
Ir  0.5000  0.6197  0.3439
Ir  0.5000  0.6206  0.9160
Ir  0.5000  0.8182  0.1431
Ir  0.5000  0.8484  0.4748
Ir  0.5000  0.8579  0.8200

Top 10 peaks for 2θ from 5° to 70°, low angle first:
30.9°, 2.898 Å, I 97; 32.6°, 2.750 Å, I 53; 38.0°, 2.368 Å, I 72; 39.1°, 2.305 Å, I 42; 39.7°, 2.272 Å, I 93; 44.6°, 2.033 Å, I 73; 44.7°, 2.026 Å, I 44; 45.5°, 1.995 Å, I 100; 49.7°, 1.834 Å, I 46; 64.3°, 1.449 Å, I 30


# 6
SmTcRu: simulated powder X-ray diffraction pattern (copper Kα), based on a crystal structure in Alexandria, relaxed with PBE.

Unit cell a=5.4439 b=5.4439 c=5.4439 alpha=124.37 beta=116.03 gamma=89.80
Positions (direct):
Sm  0.3720  0.1220  0.2500
Sm  0.6280  0.8780  0.7500
Tc  0.0000  0.0000  0.5000
Tc  0.0000  0.5000  0.0000
Ru  0.0000  0.5000  0.5000
Ru  0.5000  0.5000  0.0000

Top 10 peaks for 2θ from 5° to 70°, low angle first:
31.0°, 2.884 Å, I 21; 33.0°, 2.711 Å, I 72; 37.7°, 2.385 Å, I 100; 38.3°, 2.348 Å, I 48; 39.0°, 2.309 Å, I 40; 39.3°, 2.294 Å, I 41; 40.5°, 2.226 Å, I 77; 42.6°, 2.121 Å, I 35; 61.7°, 1.503 Å, I 22; 69.3°, 1.355 Å, I 46


# 7
Sr2Ti6N2O11: simulated powder X-ray diffraction pattern (copper Kα), based on a crystal structure in Alexandria, relaxed with PBE.

Unit cell a=7.8412 b=7.8412 c=9.3790 alpha=99.20 beta=99.20 gamma=28.37
Positions (direct):
Sr  0.0000  0.0000  0.0000
Sr  0.0963  0.0963  0.5299
Ti  0.3118  0.3118  0.9958
Ti  0.3890  0.3890  0.3105
Ti  0.4321  0.4321  0.6684
Ti  0.6664  0.6664  0.8564
Ti  0.7206  0.7206  0.1823
Ti  0.7857  0.7857  0.5135
N  0.2589  0.2589  0.1658
N  0.6217  0.6217  0.0302
O  0.1958  0.1958  0.8536
O  0.3167  0.3167  0.5078
O  0.4035  0.4035  0.8474
O  0.4299  0.4299  0.1336
O  0.4889  0.4889  0.4457
O  0.5562  0.5562  0.7278
O  0.6818  0.6818  0.3624
O  0.7177  0.7177  0.6476
O  0.7994  0.7994  0.9791
O  0.8558  0.8558  0.3211
O  0.9160  0.9160  0.6334

Top 10 peaks for 2θ from 5° to 70°, low angle first:
19.2°, 4.625 Å, I 55; 29.3°, 3.047 Å, I 94; 29.4°, 3.033 Å, I 54; 29.9°, 2.985 Å, I 100; 30.2°, 2.960 Å, I 51; 31.5°, 2.844 Å, I 50; 31.8°, 2.811 Å, I 48; 33.2°, 2.702 Å, I 68; 42.4°, 2.132 Å, I 61; 47.3°, 1.922 Å, I 71


# 8
Na2Sr13: simulated powder X-ray diffraction pattern (copper Kα), based on a crystal structure in Alexandria, relaxed with PBE.

Unit cell a=7.9027 b=10.4759 c=10.5047 alpha=66.71 beta=82.39 gamma=81.23
Positions (direct):
Na  0.1313  0.2901  0.4627
Na  0.8687  0.7099  0.5373
Sr  0.0000  0.5000  0.0000
Sr  0.0621  0.9069  0.7195
Sr  0.2000  0.6867  0.2146
Sr  0.2605  0.0931  0.9455
Sr  0.3063  0.4933  0.6586
Sr  0.4271  0.8881  0.4008
Sr  0.4684  0.3005  0.1421
Sr  0.5316  0.6995  0.8579
Sr  0.5729  0.1119  0.5992
Sr  0.6937  0.5067  0.3414
Sr  0.7395  0.9069  0.0545
Sr  0.8000  0.3133  0.7854
Sr  0.9379  0.0931  0.2805

Top 10 peaks for 2θ from 5° to 70°, low angle first:
26.6°, 3.355 Å, I 100; 26.7°, 3.340 Å, I 100; 26.9°, 3.314 Å, I 50; 27.0°, 3.306 Å, I 49; 37.6°, 2.394 Å, I 19; 38.3°, 2.351 Å, I 19; 46.8°, 1.942 Å, I 21; 47.3°, 1.921 Å, I 28; 47.5°, 1.916 Å, I 20; 47.5°, 1.912 Å, I 19